This entry pairs a crystal structure of RbCrSi2F with its calculated X-ray diffraction stick pattern. Radiation: λ = 1.5418 Å (Cu Kα). Structure: a cell relaxed with PBE+U.
Kinematic intensities with the Lorentz-polarization factor, no thermal factor.

Most intense lines, 2θ from 10° to 90°, by angle:
2theta	I/Imax
17.44	13
19.19	16
27.26	27
32.54	100
35.29	30
38.94	45
45.16	13
53.55	33
56.24	14
61.61	15
66.50	24
68.17	15

Structure:
```
data_RbCrSi2F
_chemical_formula_sum 'Rb1 Cr1 Si2 F1'
_cell_length_a 4.626
_cell_length_b 4.626
_cell_length_c 5.086
_cell_angle_alpha 90.00
_cell_angle_beta 90.00
_cell_angle_gamma 90.00
_space_group_name_H-M_alt 'P 4/m m m'
_space_group_IT_number 123
_space_group_name_Hall '-P 4 2'
loop_
_atom_site_label
_atom_site_type_symbol
_atom_site_fract_x
_atom_site_fract_y
_atom_site_fract_z
_atom_site_occupancy
Rb1 Rb 0.000 0.000 0.000 1
Cr1 Cr 0.500 0.500 0.000 1
Si1 Si 0.000 0.500 0.500 1
F1 F 0.000 0.000 0.500 1
```